[1]
For Na2PdW6S2N2O6, DFT lattice parameters and positions (GGA+U) gives the theoretical PXRD pattern in this record (Cu Kα).
Intensities are scaled so that the largest is 100.

a b c (Å): 5.8688 6.9770 8.7029
angles (deg): 76.05 89.39 80.87
Space group P-1 (No. 2)
Asymmetric unit:
1 Na 0.1874 0.2977 0.1661
2 Pd 0.5000 0.0000 0.0000
3 W 0.0420 0.2805 0.5501
4 W 0.3170 0.5004 0.6494
5 W 0.4402 0.8274 0.4436
6 S 0.2752 0.7652 0.0985
7 N 0.2737 0.1197 0.4490
8 O 0.0766 0.7309 0.0126
9 O 0.1707 0.8312 0.2576
10 O 0.4186 0.5534 0.1637

Most intense lines, 2θ = 10–90°, in order of falling intensity:
2θ (°), I (rel.), h k l
10.48, 100.0, 0 0 1
14.78, 20.9, 0 1 1
27.80, 16.3, -1 1 2
21.05, 15.6, 0 0 2
36.90, 13.6, 2 1 2
27.59, 11.3, 0 1 -2
37.58, 11.3, 0 1 -3
40.80, 10.9, 2 2 -1
43.65, 10.6, 2 1 3
39.89, 9.6, 1 3 1

---

[2]
For TbCrO5, DFT lattice parameters and positions (GGA+U) gives the theoretical PXRD pattern in this record (Cu Kα).
Intensities are scaled so that the largest is 100.

a b c (Å): 7.2847 7.2847 4.5054
angles (deg): 90.00 90.00 90.00
Space group P4/nmm (No. 129, origin choice 2)
Asymmetric unit:
1 Tb 0.2500 0.2500 0.2442
2 Cr 0.2500 0.7500 0.5000
3 O 0.0632 0.7500 0.7121
4 O 0.2500 0.2500 0.7465

Most intense lines, 2θ = 10–90°, in order of falling intensity:
2θ (°), I (rel.), h k l
23.21, 100.0, 1 0 1
24.44, 99.8, 2 0 0
57.20, 36.1, 3 1 2
42.28, 32.2, 3 0 1
33.96, 32.2, 2 1 1
17.21, 32.1, 1 1 0
43.87, 30.0, 1 1 2
49.44, 22.8, 3 2 1
34.83, 22.5, 2 2 0
39.10, 18.9, 3 1 0